Starting from DFT lattice parameters and positions (GGA-PBE), the X-ray powder pattern of FeH12C4S4N10 was calculated for Cu Kα (weighted mean of Kα1 and Kα2).
Lines closer than 0.1° are merged.

Peak list (10 most intense, 5 to 70 degrees two-theta, in order of rising 2θ)
| 2θ/deg | I_rel |
| --- | --- |
| 10.5 | 31 |
| 11.5 | 79 |
| 17.2 | 20 |
| 20.9 | 88 |
| 23.8 | 100 |
| 28.6 | 32 |
| 28.8 | 64 |
| 31.8 | 47 |
| 32.0 | 41 |
| 38.1 | 29 |

Structural model:
a = 5.1111 Å, b = 7.9094 Å, c = 8.6677 Å
α = 77.41°, β = 84.22°, γ = 88.98°
Sites, in units of the cell vectors:
Fe  0.0000  0.0000  0.0000
H  0.0030  0.2694  0.6060
H  0.1730  0.3163  0.2859
H  0.2129  0.5872  0.4785
H  0.2249  0.2979  0.0145
H  0.3708  0.8759  0.4715
H  0.3946  0.1386  0.1194
H  0.6054  0.8614  0.8806
H  0.6292  0.1241  0.5285
H  0.7751  0.7021  0.9855
H  0.7871  0.4128  0.5215
H  0.8270  0.6837  0.7141
H  0.9970  0.7306  0.3940
C  0.1226  0.8625  0.6771
C  0.3570  0.6758  0.1575
C  0.6430  0.3242  0.8425
C  0.8774  0.1375  0.3229
S  0.2787  0.0230  0.7373
S  0.4549  0.4822  0.7703
S  0.5451  0.5178  0.2297
S  0.7213  0.9770  0.2627
N  0.0788  0.6803  0.4980
N  0.0890  0.2221  0.2409
N  0.2068  0.1836  0.0992
N  0.2102  0.8144  0.5417
N  0.2258  0.7954  0.1032
N  0.7742  0.2046  0.8968
N  0.7898  0.1856  0.4583
N  0.7932  0.8164  0.9008
N  0.9110  0.7779  0.7591
N  0.9212  0.3197  0.5020

=====

Starting from DFT lattice parameters and positions (GGA-PBE), the X-ray powder pattern of Hf4Zr2Fe3C3 was calculated for Cu Kα (weighted mean of Kα1 and Kα2).
Lines closer than 0.1° are merged.

Peak list (10 most intense, 5 to 70 degrees two-theta, in order of rising 2θ)
| 2θ/deg | I_rel |
| --- | --- |
| 18.6 | 16 |
| 27.0 | 24 |
| 32.2 | 30 |
| 32.9 | 57 |
| 38.1 | 51 |
| 38.3 | 100 |
| 41.0 | 25 |
| 57.3 | 28 |
| 59.1 | 14 |
| 64.6 | 14 |

Structural model:
a = 5.5694 Å, b = 5.5694 Å, c = 13.6263 Å
α = 102.14°, β = 102.14°, γ = 59.94°
Sites, in units of the cell vectors:
Hf  0.0298  0.2016  0.0955
Hf  0.1360  0.3009  0.4045
Hf  0.2016  0.0298  0.5955
Hf  0.3009  0.1360  0.9045
Hf  0.6991  0.8640  0.0955
Hf  0.7984  0.9702  0.4045
Hf  0.8640  0.6991  0.5955
Hf  0.9702  0.7984  0.9045
Zr  0.3734  0.5394  0.1140
Zr  0.4606  0.6266  0.3860
Zr  0.5394  0.3734  0.6140
Zr  0.6266  0.4606  0.8860
Fe  0.0798  0.9202  0.7500
Fe  0.0937  0.4168  0.7507
Fe  0.4168  0.0937  0.2507
Fe  0.5833  0.9063  0.7493
Fe  0.9063  0.5833  0.2493
Fe  0.9202  0.0798  0.2500
C  0.0000  0.5000  0.0000
C  0.1736  0.6632  0.4997
C  0.3368  0.8264  0.0003
C  0.5000  0.0000  0.5000
C  0.6632  0.1736  0.9997
C  0.8264  0.3368  0.5003

=====

Starting from DFT lattice parameters and positions (GGA-PBE), the X-ray powder pattern of Fe4HgC2S was calculated for Cu Kα (weighted mean of Kα1 and Kα2).
Lines closer than 0.1° are merged.

Peak list (10 most intense, 5 to 70 degrees two-theta, in order of rising 2θ)
| 2θ/deg | I_rel |
| --- | --- |
| 7.7 | 75 |
| 23.3 | 17 |
| 34.3 | 40 |
| 35.2 | 17 |
| 37.8 | 46 |
| 39.3 | 14 |
| 41.8 | 100 |
| 53.1 | 16 |
| 59.9 | 15 |
| 61.4 | 25 |

Structural model:
a = 3.0209 Å, b = 3.0209 Å, c = 11.4761 Å
α = 90.00°, β = 90.00°, γ = 120.00°
Sites, in units of the cell vectors:
Fe  0.0000  0.0000  0.1401
Fe  0.0000  0.0000  0.8599
Fe  0.6667  0.3333  0.2982
Fe  0.6667  0.3333  0.7018
Hg  0.0000  0.0000  0.5000
C  0.3333  0.6667  0.2353
C  0.3333  0.6667  0.7647
S  0.6667  0.3333  0.0000

=====

Starting from DFT lattice parameters and positions (GGA-PBE), the X-ray powder pattern of Ho2FeIr4C4 was calculated for Cu Kα (weighted mean of Kα1 and Kα2).
Lines closer than 0.1° are merged.

Peak list (10 most intense, 5 to 70 degrees two-theta, in order of rising 2θ)
| 2θ/deg | I_rel |
| --- | --- |
| 18.4 | 35 |
| 31.0 | 33 |
| 37.3 | 51 |
| 37.8 | 74 |
| 38.3 | 100 |
| 41.0 | 20 |
| 47.4 | 43 |
| 51.2 | 21 |
| 61.8 | 35 |
| 68.0 | 20 |

Structural model:
a = 7.2981 Å, b = 6.1040 Å, c = 5.5192 Å
α = 77.61°, β = 54.78°, γ = 47.61°
Sites, in units of the cell vectors:
Ho  0.1491  0.1491  0.8509
Ho  0.8509  0.8509  0.1491
Fe  0.5000  0.5000  0.5000
Ir  0.0000  0.0000  0.5000
Ir  0.2500  0.2500  0.2500
Ir  0.5000  0.5000  0.0000
Ir  0.7500  0.7500  0.7500
C  0.2281  0.5150  0.4850
C  0.4850  0.7719  0.2281
C  0.5150  0.2281  0.7719
C  0.7719  0.4850  0.5150